1.
Calculated X-ray powder pattern of Np2PbSe4 for Cu Kα, 1.54184 Å, from a cell relaxed with GGA-PBE.

Atomic structure:
```
Np2PbSe4
1.0
2.073 -6.761 0.000
2.073 6.761 0.000
0.000 0.000 14.261
Np Pb Se
4 2 8
direct
0.134 0.866 0.565 Np
0.134 0.866 0.935 Np
0.866 0.134 0.065 Np
0.866 0.134 0.435 Np
0.392 0.608 0.750 Pb
0.608 0.392 0.250 Pb
0.051 0.949 0.750 Se
0.230 0.770 0.115 Se
0.230 0.770 0.385 Se
0.500 0.500 0.000 Se
0.500 0.500 0.500 Se
0.770 0.230 0.615 Se
0.770 0.230 0.885 Se
0.949 0.051 0.250 Se
```

Top 12 peaks for 2θ = 15–90°, in order of rising 2θ:
- 2θ = 22.9°, d = 3.889 Å, I 100.0
- 2θ = 28.3°, d = 3.154 Å, I 23.4
- 2θ = 29.3°, d = 3.052 Å, I 26.9
- 2θ = 29.9°, d = 2.984 Å, I 70.8
- 2θ = 31.9°, d = 2.806 Å, I 67.8
- 2θ = 38.9°, d = 2.315 Å, I 52.4
- 2θ = 41.8°, d = 2.159 Å, I 24.6
- 2θ = 43.7°, d = 2.073 Å, I 30.2
- 2θ = 44.3°, d = 2.045 Å, I 31.7
- 2θ = 44.5°, d = 2.037 Å, I 39.0
- 2θ = 49.8°, d = 1.830 Å, I 26.5
- 2θ = 64.1°, d = 1.453 Å, I 24.2

2.
Calculated X-ray powder pattern of Li2Y for Cu Kα, 1.54184 Å, from a cell relaxed with GGA-PBE.

Atomic structure:
```
Li2Y
1.0
11.245 0.000 0.000
0.000 3.503 0.000
-2.512 0.000 7.485
Li Y
8 4
direct
0.000 0.000 0.000 Li
0.000 0.000 0.500 Li
0.147 0.500 0.357 Li
0.353 0.000 0.643 Li
0.500 0.500 0.000 Li
0.500 0.500 0.500 Li
0.647 0.000 0.357 Li
0.853 0.500 0.643 Li
0.176 0.500 0.814 Y
0.324 0.000 0.186 Y
0.676 0.000 0.814 Y
0.824 0.500 0.186 Y
```

Top 12 peaks for 2θ = 15–90°, in order of rising 2θ:
- 2θ = 16.6°, d = 5.330 Å, I 39.3
- 2θ = 17.1°, d = 5.192 Å, I 100.0
- 2θ = 23.8°, d = 3.743 Å, I 22.9
- 2θ = 28.2°, d = 3.160 Å, I 28.0
- 2θ = 30.5°, d = 2.935 Å, I 50.2
- 2θ = 33.3°, d = 2.687 Å, I 27.0
- 2θ = 34.2°, d = 2.620 Å, I 46.3
- 2θ = 34.5°, d = 2.598 Å, I 34.0
- 2θ = 36.0°, d = 2.495 Å, I 56.5
- 2θ = 38.6°, d = 2.330 Å, I 16.4
- 2θ = 48.1°, d = 1.891 Å, I 15.9
- 2θ = 64.1°, d = 1.452 Å, I 15.9

3.
Calculated X-ray powder pattern of CsKPH for Cu Kα, 1.54184 Å, from a cell relaxed with GGA-PBE.

Atomic structure:
```
CsKPH
1.0
9.716 0.000 0.000
0.000 5.600 0.000
-0.004 0.000 4.766
Cs K P H
2 2 2 2
direct
0.000 0.000 0.000 Cs
0.500 0.500 0.000 Cs
0.333 0.000 0.490 K
0.833 0.500 0.490 K
0.166 0.500 0.515 P
0.666 0.000 0.515 P
0.167 0.500 0.820 H
0.667 0.000 0.820 H
```

Top 12 peaks for 2θ = 15–90°, in order of rising 2θ:
- 2θ = 18.3°, d = 4.854 Å, I 35.4
- 2θ = 26.2°, d = 3.401 Å, I 100.0
- 2θ = 31.9°, d = 2.802 Å, I 44.5
- 2θ = 37.7°, d = 2.383 Å, I 8.9
- 2θ = 41.8°, d = 2.163 Å, I 27.4
- 2θ = 42.2°, d = 2.139 Å, I 9.1
- 2θ = 50.3°, d = 1.815 Å, I 22.6
- 2θ = 53.5°, d = 1.712 Å, I 26.0
- 2θ = 56.9°, d = 1.618 Å, I 7.9
- 2θ = 61.4°, d = 1.510 Å, I 8.6
- 2θ = 73.0°, d = 1.296 Å, I 6.9
- 2θ = 79.9°, d = 1.201 Å, I 7.0

4.
Calculated X-ray powder pattern of Ta4W3 for Cu Kα, 1.54184 Å, from a cell relaxed with GGA-PBE.

Atomic structure:
```
Ta4W3
1.0
10.319 0.000 0.000
0.000 3.230 0.000
-1.028 0.000 7.233
Ta W
8 6
direct
0.000 0.000 0.000 Ta
0.062 0.500 0.702 Ta
0.141 0.000 0.415 Ta
0.281 0.000 0.847 Ta
0.500 0.500 0.000 Ta
0.562 0.000 0.702 Ta
0.641 0.500 0.415 Ta
0.781 0.500 0.847 Ta
0.215 0.500 0.135 W
0.354 0.500 0.559 W
0.421 0.000 0.279 W
0.715 0.000 0.135 W
0.854 0.000 0.559 W
0.921 0.500 0.279 W
```

Top 9 peaks for 2θ = 15–90°, in order of rising 2θ:
- 2θ = 39.0°, d = 2.309 Å, I 50.6
- 2θ = 39.2°, d = 2.296 Å, I 100.0
- 2θ = 56.3°, d = 1.634 Å, I 8.9
- 2θ = 56.4°, d = 1.631 Å, I 8.7
- 2θ = 57.0°, d = 1.615 Å, I 8.5
- 2θ = 70.8°, d = 1.331 Å, I 35.3
- 2θ = 71.3°, d = 1.323 Å, I 17.5
- 2θ = 83.8°, d = 1.154 Å, I 5.6
- 2θ = 84.4°, d = 1.148 Å, I 11.3

5.
Calculated X-ray powder pattern of Ce2Ga2Pt3 for Cu Kα, 1.54184 Å, from a cell relaxed with GGA-PBE.

Atomic structure:
```
Ce2Ga2Pt3
1.0
2.027 -9.734 0.000
2.027 9.734 0.000
0.000 0.000 7.256
Ce Ga Pt
4 4 6
direct
0.062 0.938 0.750 Ce
0.148 0.852 0.250 Ce
0.852 0.148 0.750 Ce
0.938 0.062 0.250 Ce
0.306 0.694 0.054 Ga
0.306 0.694 0.446 Ga
0.694 0.306 0.554 Ga
0.694 0.306 0.946 Ga
0.229 0.771 0.750 Pt
0.433 0.567 0.545 Pt
0.433 0.567 0.955 Pt
0.567 0.433 0.045 Pt
0.567 0.433 0.455 Pt
0.771 0.229 0.250 Pt
```

Top 12 peaks for 2θ = 15–90°, in order of rising 2θ:
- 2θ = 26.2°, d = 3.400 Å, I 18.4
- 2θ = 27.5°, d = 3.245 Å, I 15.7
- 2θ = 30.2°, d = 2.962 Å, I 18.5
- 2θ = 33.5°, d = 2.678 Å, I 100.0
- 2θ = 34.2°, d = 2.619 Å, I 78.2
- 2θ = 36.9°, d = 2.434 Å, I 15.1
- 2θ = 41.7°, d = 2.166 Å, I 23.3
- 2θ = 44.7°, d = 2.027 Å, I 34.3
- 2θ = 45.9°, d = 1.978 Å, I 23.6
- 2θ = 46.9°, d = 1.939 Å, I 43.2
- 2θ = 62.8°, d = 1.480 Å, I 18.4
- 2θ = 73.5°, d = 1.289 Å, I 19.2

6.
Calculated X-ray powder pattern of PrNd5Tl6 for Cu Kα, 1.54184 Å, from a cell relaxed with GGA-PBE.

Atomic structure:
```
PrNd5Tl6
1.0
5.549 0.000 0.000
0.000 7.770 0.000
-2.719 0.000 8.327
Pr Nd Tl
1 5 6
direct
0.000 0.000 0.000 Pr
0.000 0.500 0.000 Nd
0.333 0.000 0.666 Nd
0.334 0.500 0.668 Nd
0.666 0.500 0.332 Nd
0.667 0.000 0.334 Nd
0.167 0.251 0.335 Tl
0.167 0.749 0.335 Tl
0.500 0.251 0.000 Tl
0.500 0.749 0.000 Tl
0.833 0.251 0.665 Tl
0.833 0.749 0.665 Tl
```

Top 12 peaks for 2θ = 15–90°, in order of rising 2θ:
- 2θ = 32.3°, d = 2.775 Å, I 100.0
- 2θ = 32.4°, d = 2.766 Å, I 99.1
- 2θ = 32.5°, d = 2.757 Å, I 98.2
- 2θ = 46.1°, d = 1.969 Å, I 18.8
- 2θ = 46.4°, d = 1.956 Å, I 18.4
- 2θ = 46.8°, d = 1.943 Å, I 18.0
- 2θ = 57.5°, d = 1.602 Å, I 39.1
- 2θ = 57.7°, d = 1.597 Å, I 38.7
- 2θ = 57.9°, d = 1.591 Å, I 38.3
- 2θ = 76.6°, d = 1.244 Å, I 17.0
- 2θ = 77.6°, d = 1.230 Å, I 16.4
- 2θ = 86.1°, d = 1.129 Å, I 12.9

7.
Calculated X-ray powder pattern of Pm4I6N for Cu Kα, 1.54184 Å, from a cell relaxed with GGA-PBE.

Atomic structure:
```
Pm4I6N
1.0
10.008 0.000 0.000
-5.004 8.667 0.000
0.000 0.000 8.500
Pm I N
8 12 2
direct
0.205 0.410 0.000 Pm
0.205 0.795 0.000 Pm
0.333 0.667 0.681 Pm
0.410 0.205 0.500 Pm
0.590 0.795 0.000 Pm
0.667 0.333 0.181 Pm
0.795 0.205 0.500 Pm
0.795 0.590 0.500 Pm
0.057 0.528 0.317 I
0.136 0.272 0.632 I
0.136 0.864 0.632 I
0.272 0.136 0.132 I
0.472 0.528 0.317 I
0.472 0.943 0.317 I
0.528 0.057 0.817 I
0.528 0.472 0.817 I
0.728 0.864 0.632 I
0.864 0.136 0.132 I
0.864 0.728 0.132 I
0.943 0.472 0.817 I
0.333 0.667 0.962 N
0.667 0.333 0.462 N
```

Top 12 peaks for 2θ = 15–90°, in order of rising 2θ:
- 2θ = 23.3°, d = 3.816 Å, I 22.4
- 2θ = 29.2°, d = 3.057 Å, I 100.0
- 2θ = 29.4°, d = 3.034 Å, I 97.7
- 2θ = 32.7°, d = 2.735 Å, I 83.0
- 2θ = 33.3°, d = 2.693 Å, I 48.3
- 2θ = 34.6°, d = 2.595 Å, I 54.9
- 2θ = 35.9°, d = 2.502 Å, I 58.4
- 2θ = 37.9°, d = 2.372 Å, I 27.4
- 2θ = 49.4°, d = 1.846 Å, I 17.8
- 2θ = 50.7°, d = 1.801 Å, I 17.6
- 2θ = 54.0°, d = 1.698 Å, I 23.3
- 2θ = 56.5°, d = 1.628 Å, I 44.7

8.
Calculated X-ray powder pattern of Ba4SiBr3 for Cu Kα, 1.54184 Å, from a cell relaxed with GGA-PBE.

Atomic structure:
```
Ba4SiBr3
1.0
8.337 0.000 0.000
0.000 9.640 0.000
-2.764 0.000 7.864
Ba Si Br
8 2 6
direct
0.228 0.110 0.002 Ba
0.228 0.890 0.502 Ba
0.236 0.361 0.482 Ba
0.236 0.639 0.982 Ba
0.764 0.361 0.018 Ba
0.764 0.639 0.518 Ba
0.772 0.110 0.498 Ba
0.772 0.890 0.998 Ba
0.000 0.133 0.250 Si
0.000 0.867 0.750 Si
0.000 0.377 0.750 Br
0.000 0.623 0.250 Br
0.500 0.135 0.750 Br
0.500 0.379 0.250 Br
0.500 0.621 0.750 Br
0.500 0.865 0.250 Br
```

Top 12 peaks for 2θ = 15–90°, in order of rising 2θ:
- 2θ = 22.6°, d = 3.933 Å, I 17.1
- 2θ = 26.2°, d = 3.406 Å, I 100.0
- 2θ = 37.3°, d = 2.408 Å, I 74.2
- 2θ = 44.1°, d = 2.054 Å, I 7.2
- 2θ = 46.2°, d = 1.966 Å, I 25.7
- 2θ = 53.8°, d = 1.704 Å, I 7.7
- 2θ = 53.9°, d = 1.700 Å, I 4.0
- 2θ = 60.8°, d = 1.524 Å, I 20.5
- 2θ = 60.9°, d = 1.522 Å, I 10.7
- 2θ = 67.4°, d = 1.390 Å, I 22.2
- 2θ = 79.6°, d = 1.204 Å, I 4.1
- 2θ = 85.5°, d = 1.135 Å, I 10.2

9.
Calculated X-ray powder pattern of ZrCl4 for Cu Kα, 1.54184 Å, from a cell relaxed with GGA-PBE.

Atomic structure:
```
ZrCl4
1.0
6.950 0.000 0.000
0.000 8.112 0.000
-2.007 0.000 6.045
Zr Cl
2 8
direct
0.000 0.153 0.250 Zr
0.000 0.847 0.750 Zr
0.209 0.098 0.998 Cl
0.209 0.902 0.498 Cl
0.237 0.339 0.469 Cl
0.237 0.661 0.969 Cl
0.763 0.339 0.031 Cl
0.763 0.661 0.531 Cl
0.791 0.098 0.502 Cl
0.791 0.902 0.002 Cl
```

Top 12 peaks for 2θ = 15–90°, in order of rising 2θ:
- 2θ = 17.3°, d = 5.118 Å, I 43.4
- 2θ = 18.3°, d = 4.847 Å, I 68.2
- 2θ = 19.8°, d = 4.484 Å, I 69.6
- 2θ = 26.5°, d = 3.368 Å, I 19.1
- 2θ = 31.9°, d = 2.807 Å, I 100.0
- 2θ = 33.3°, d = 2.690 Å, I 49.0
- 2θ = 41.5°, d = 2.173 Å, I 20.8
- 2θ = 43.3°, d = 2.091 Å, I 18.0
- 2θ = 44.1°, d = 2.054 Å, I 15.2
- 2θ = 45.1°, d = 2.010 Å, I 30.4
- 2θ = 46.7°, d = 1.944 Å, I 15.6
- 2θ = 48.4°, d = 1.881 Å, I 26.7

10.
Calculated X-ray powder pattern of Th3AsSe3 for Cu Kα, 1.54184 Å, from a cell relaxed with GGA-PBE.

Atomic structure:
```
Th3AsSe3
1.0
-4.200 4.210 5.899
4.200 -4.210 5.899
4.200 4.210 -5.899
Th As Se
6 2 6
direct
0.251 0.001 0.250 Th
0.255 0.000 0.755 Th
0.255 0.500 0.255 Th
0.745 0.000 0.245 Th
0.745 0.500 0.745 Th
0.749 0.999 0.750 Th
0.493 0.743 0.750 As
0.507 0.257 0.250 As
0.000 0.252 0.252 Se
0.000 0.748 0.748 Se
0.009 0.259 0.750 Se
0.500 0.252 0.752 Se
0.500 0.748 0.248 Se
0.991 0.741 0.250 Se
```

Top 12 peaks for 2θ = 15–90°, in order of rising 2θ:
- 2θ = 24.8°, d = 3.586 Å, I 15.5
- 2θ = 26.0°, d = 3.424 Å, I 35.4
- 2θ = 30.1°, d = 2.974 Å, I 100.0
- 2θ = 30.3°, d = 2.950 Å, I 48.7
- 2θ = 43.0°, d = 2.105 Å, I 19.0
- 2θ = 43.1°, d = 2.100 Å, I 19.0
- 2θ = 43.2°, d = 2.094 Å, I 74.6
- 2θ = 53.5°, d = 1.712 Å, I 40.0
- 2θ = 71.0°, d = 1.328 Å, I 26.1
- 2θ = 71.4°, d = 1.321 Å, I 16.8
- 2θ = 78.9°, d = 1.213 Å, I 12.9
- 2θ = 79.1°, d = 1.211 Å, I 13.1

11.
Calculated X-ray powder pattern of Tl3Mo for Cu Kα, 1.54184 Å, from a cell relaxed with GGA-PBE.

Atomic structure:
```
Tl3Mo
1.0
3.431 0.000 0.000
0.000 9.350 0.000
0.000 0.000 6.236
Tl Mo
6 2
direct
0.000 0.000 0.000 Tl
0.000 0.210 0.603 Tl
0.000 0.790 0.603 Tl
0.500 0.290 0.103 Tl
0.500 0.500 0.500 Tl
0.500 0.710 0.103 Tl
0.000 0.500 0.875 Mo
0.500 0.000 0.375 Mo
```

Top 12 peaks for 2θ = 15–90°, in order of rising 2θ:
- 2θ = 27.7°, d = 3.221 Å, I 11.8
- 2θ = 28.6°, d = 3.118 Å, I 23.9
- 2θ = 29.7°, d = 3.006 Å, I 24.8
- 2θ = 32.1°, d = 2.788 Å, I 36.0
- 2θ = 34.6°, d = 2.594 Å, I 33.7
- 2θ = 35.5°, d = 2.529 Å, I 100.0
- 2θ = 38.5°, d = 2.337 Å, I 16.4
- 2θ = 40.3°, d = 2.240 Å, I 19.7
- 2θ = 51.4°, d = 1.778 Å, I 15.0
- 2θ = 53.4°, d = 1.716 Å, I 12.0
- 2θ = 64.1°, d = 1.453 Å, I 17.5
- 2θ = 73.3°, d = 1.292 Å, I 11.8

12.
Calculated X-ray powder pattern of PmSmTm2Se4 for Cu Kα, 1.54184 Å, from a cell relaxed with GGA-PBE.

Atomic structure:
```
PmSmTm2Se4
1.0
7.009 0.000 0.000
0.000 4.025 0.000
-2.319 0.000 6.918
Pm Sm Tm Se
1 1 2 4
direct
0.000 0.000 0.000 Pm
0.500 0.500 0.000 Sm
0.000 0.500 0.500 Tm
0.500 0.000 0.500 Tm
0.245 0.000 0.734 Se
0.257 0.500 0.267 Se
0.743 0.500 0.733 Se
0.755 0.000 0.266 Se
```

Top 12 peaks for 2θ = 15–90°, in order of rising 2θ:
- 2θ = 27.0°, d = 3.307 Å, I 10.1
- 2θ = 30.8°, d = 2.899 Å, I 100.0
- 2θ = 43.3°, d = 2.088 Å, I 12.8
- 2θ = 43.5°, d = 2.081 Å, I 25.4
- 2θ = 44.9°, d = 2.021 Å, I 23.9
- 2θ = 45.0°, d = 2.013 Å, I 11.8
- 2θ = 53.0°, d = 1.729 Å, I 7.7
- 2θ = 55.3°, d = 1.662 Å, I 6.6
- 2θ = 55.6°, d = 1.654 Å, I 12.6
- 2θ = 64.3°, d = 1.449 Å, I 11.9
- 2θ = 74.0°, d = 1.282 Å, I 11.0
- 2θ = 78.7°, d = 1.216 Å, I 6.2

13.
Calculated X-ray powder pattern of CsTbNpS4 for Cu Kα, 1.54184 Å, from a cell relaxed with GGA-PBE.

Atomic structure:
```
CsTbNpS4
1.0
-4.276 4.346 6.019
4.276 -4.346 6.019
4.276 4.346 -6.019
Cs Tb Np S
2 2 2 8
direct
0.379 0.129 0.250 Cs
0.621 0.871 0.750 Cs
0.000 0.500 0.500 Tb
0.500 0.500 0.000 Tb
0.000 0.000 0.500 Np
0.000 0.500 0.000 Np
0.174 0.730 0.444 S
0.214 0.270 0.944 S
0.223 0.269 0.546 S
0.223 0.677 0.954 S
0.777 0.323 0.046 S
0.777 0.731 0.454 S
0.786 0.730 0.056 S
0.826 0.270 0.556 S
```

Top 12 peaks for 2θ = 15–90°, in order of rising 2θ:
- 2θ = 20.7°, d = 4.283 Å, I 22.9
- 2θ = 24.1°, d = 3.688 Å, I 39.9
- 2θ = 24.4°, d = 3.652 Å, I 100.0
- 2θ = 24.5°, d = 3.633 Å, I 21.4
- 2θ = 25.3°, d = 3.523 Å, I 24.4
- 2θ = 25.6°, d = 3.486 Å, I 20.9
- 2θ = 29.3°, d = 3.048 Å, I 29.8
- 2θ = 38.3°, d = 2.352 Å, I 39.2
- 2θ = 38.5°, d = 2.338 Å, I 19.5
- 2θ = 38.8°, d = 2.321 Å, I 20.5
- 2θ = 42.2°, d = 2.141 Å, I 75.5
- 2θ = 49.4°, d = 1.844 Å, I 22.5